Entry 1:
The following is a theoretical PXRD pattern of Tm8CoTe2. It was derived from a DFT-relaxed cell (GGA-PBE, Alexandria), using a wavelength of 1.5418 Å.
No peak broadening, texture or thermal motion is included.

Most intense lines, 10° ≤ 2θ ≤ 90°, low angle first:
25.95 deg, I = 173
28.71 deg, I = 485
29.08 deg, I = 238
30.35 deg, I = 381
31.58 deg, I = 251
32.60 deg, I = 1000
34.41 deg, I = 226
36.65 deg, I = 265
38.65 deg, I = 291
39.37 deg, I = 183
43.98 deg, I = 191
48.86 deg, I = 179

Structural model:
abc: 13.791 6.866 6.687
angles: 90.00 95.21 90.00
Space group C2/m (No. 12)
One atom of each set of equivalent atoms:
Tm1 0.082 0.240 0.296 x8
Tm2 0.105 0.500 0.887 x4
Tm3 0.162 0.000 0.838 x4
Co1 0.000 0.000 0.000 x2
Te1 0.232 0.500 0.566 x4



Entry 2:
The following is a theoretical PXRD pattern of ZnCdSnBi. It was derived from a DFT-relaxed cell (GGA-PBE, Alexandria), using a wavelength of 1.5418 Å.
No peak broadening, texture or thermal motion is included.

Most intense lines, 10° ≤ 2θ ≤ 90°, low angle first:
20.64 deg, I = 152
23.88 deg, I = 7
34.03 deg, I = 1000
40.13 deg, I = 90
48.89 deg, I = 181
53.61 deg, I = 41
60.90 deg, I = 374
65.03 deg, I = 32
71.64 deg, I = 116
75.47 deg, I = 33
81.73 deg, I = 166
85.43 deg, I = 13

Structural model:
abc: 7.452 7.452 7.452
angles: 90.00 90.00 90.00
Space group F-43m (No. 216)
One atom of each set of equivalent atoms:
Zn1 0.000 0.000 0.000 x4
Cd1 0.250 0.250 0.250 x4
Sn1 0.250 0.250 0.750 x4
Bi1 0.000 0.000 0.500 x4